No. 1
Structure and computed powder diffractogram of Pt2Cl (a cell relaxed with PBE; CuKα).

Structure:
a = 5.981 Å, b = 5.981 Å, c = 8.337 Å
α = 90.00°, β = 90.00°, γ = 120.00°
Sites, in units of the cell vectors:
1 Pt 0.000 0.000 0.000
2 Pt 0.000 0.000 0.500
3 Pt 0.151 0.302 0.250
4 Pt 0.151 0.849 0.250
5 Pt 0.302 0.151 0.750
6 Pt 0.698 0.849 0.250
7 Pt 0.849 0.151 0.750
8 Pt 0.849 0.698 0.750
9 Cl 0.333 0.667 0.059
10 Cl 0.333 0.667 0.441
11 Cl 0.667 0.333 0.559
12 Cl 0.667 0.333 0.941

Most intense lines, 2θ = 10–80°, in order of rising 2θ:
2θ = 17.12°, d = 5.180 Å, I = 100
2θ = 20.18°, d = 4.400 Å, I = 33
2θ = 21.32°, d = 4.168 Å, I = 22
2θ = 36.32°, d = 2.473 Å, I = 67
2θ = 36.99°, d = 2.430 Å, I = 54
2θ = 41.03°, d = 2.200 Å, I = 45
2θ = 43.42°, d = 2.084 Å, I = 20
2θ = 46.99°, d = 1.934 Å, I = 19
2θ = 48.02°, d = 1.895 Å, I = 42
2θ = 62.07°, d = 1.495 Å, I = 20

---

No. 2
Structure and computed powder diffractogram of CaTlAuSeNF (a cell relaxed with PBE; CuKα).

Structure:
a = 4.916 Å, b = 4.023 Å, c = 7.309 Å
α = 90.00°, β = 99.88°, γ = 90.00°
Sites, in units of the cell vectors:
1 Ca 0.000 0.000 0.000
2 Tl 0.458 0.500 0.542
3 Au 0.490 0.500 0.127
4 Se 0.838 0.000 0.383
5 N 0.583 0.000 0.135
6 F 0.922 0.500 0.859

Most intense lines, 2θ = 10–80°, in order of rising 2θ:
2θ = 12.29°, d = 7.200 Å, I = 35
2θ = 18.32°, d = 4.843 Å, I = 61
2θ = 22.10°, d = 4.023 Å, I = 34
2θ = 24.73°, d = 3.600 Å, I = 31
2θ = 28.24°, d = 3.160 Å, I = 41
2θ = 28.85°, d = 3.094 Å, I = 100
2θ = 33.42°, d = 2.681 Å, I = 67
2θ = 36.14°, d = 2.485 Å, I = 39
2θ = 37.13°, d = 2.422 Å, I = 24
2θ = 43.63°, d = 2.075 Å, I = 24